Diffraction record for CaNpNi2O6. The powder XRD pattern is computed, not measured: it uses a PBE+U-relaxed structure and copper Kα.
Intensities are scaled so that the largest is 100.

Largest 8 diffraction maxima, most intense first, 5 to 70 degrees two-theta:
index, two_theta, d_spacing, Rel. int.
0 1 1, 19.33, 4.592, 100.0
1 1 -3, 31.75, 2.819, 60.2
2 0 -2, 32.07, 2.791, 53.8
1 1 1, 31.47, 2.843, 51.5
3 1 -5, 57.05, 1.614, 28.0
2 2 -2, 45.98, 1.974, 23.8
1 1 -1, 22.52, 3.947, 18.9
2 1 -3, 37.78, 2.381, 18.6

Atomic structure:
Cell lengths 5.5904, 5.5747, 9.8050 Å; angles 90.00, 124.07, 90.00 degrees
Fractional coordinates of all 20 atoms:
1 Ca 0.0000 0.0000 0.0000
2 Ca 0.0000 0.5000 0.5000
3 Np 0.5000 0.0000 0.5000
4 Np 0.5000 0.5000 0.0000
5 Ni 0.1819 0.0176 0.7107
6 Ni 0.1819 0.4824 0.2107
7 Ni 0.8181 0.5176 0.7893
8 Ni 0.8181 0.9824 0.2893
9 O 0.1356 0.1418 0.2756
10 O 0.1356 0.3582 0.7756
11 O 0.2079 0.6488 0.0391
12 O 0.2079 0.8512 0.5391
13 O 0.4853 0.1970 0.1140
14 O 0.4853 0.3030 0.6140
15 O 0.5147 0.6970 0.3860
16 O 0.5147 0.8030 0.8860
17 O 0.7921 0.1488 0.4609
18 O 0.7921 0.3512 0.9609
19 O 0.8644 0.6418 0.2244
20 O 0.8644 0.8582 0.7244